# 1
Structure and theoretical powder diffraction line list of V3FeH7 (a crystal structure in Alexandria, relaxed with PBE; Cu Kα X-rays).
Kinematic intensities with the Lorentz-polarization factor, no thermal factor.

Structure:
abc: 5.822 5.757 5.012
angles: 90.00 124.42 90.00
Space group Cm (No. 8)
Asymmetric unit:
V 0.000 0.000 0.000 x2
V 0.000 0.246 0.513 x4
Fe 0.003 0.500 0.011 x2
H 0.125 0.256 0.252 x4
H 0.126 0.500 0.770 x2
H 0.363 0.500 0.247 x2
H 0.373 0.236 0.769 x4
H 0.374 0.000 0.242 x2

Peak list (8 most intense, 2θ = 10–90°, most intense first)
2.361 Å, intensity 100.0, (0 2 1); 2.047 Å, intensity 38.9, (2 2 -1); 2.401 Å, intensity 35.1, (2 0 0); 2.067 Å, intensity 20.1, (0 0 2); 1.464 Å, intensity 13.5, (2 2 1); 1.445 Å, intensity 12.7, (2 2 -3); 1.245 Å, intensity 7.1, (4 2 -1); 1.243 Å, intensity 7.0, (0 2 3)

# 2
Structure and theoretical powder diffraction line list of V2FeH4 (a crystal structure in Alexandria, relaxed with PBE; Cu Kα X-rays).
Kinematic intensities with the Lorentz-polarization factor, no thermal factor.

Structure:
abc: 5.279 5.279 7.440
angles: 90.00 90.00 90.00
Space group I4_1/amd (No. 141, origin choice 2)
Asymmetric unit:
V 0.000 0.000 0.000 x8
Fe 0.000 0.250 0.375 x4
H 0.000 0.012 0.755 x16

Peak list (8 most intense, 2θ = 10–90°, most intense first)
2.250 Å, intensity 100.0, (2 1 1); 2.636 Å, intensity 50.3, (2 0 0); 2.245 Å, intensity 49.7, (1 0 3); 2.153 Å, intensity 46.6, (2 0 2); 1.436 Å, intensity 31.6, (3 2 1); 1.317 Å, intensity 23.6, (2 2 4); 1.320 Å, intensity 11.9, (4 0 0); 1.523 Å, intensity 10.9, (3 1 2)

# 3
Structure and theoretical powder diffraction line list of YVFe11H (a crystal structure in Alexandria, relaxed with PBE; Cu Kα X-rays).
Kinematic intensities with the Lorentz-polarization factor, no thermal factor.

Structure:
abc: 4.716 8.420 8.445
angles: 90.00 90.00 90.00
Space group Imm2 (No. 44)
Asymmetric unit:
Y 0.000 0.000 0.000 x2
V 0.000 0.000 0.626 x2
Fe 0.000 0.000 0.358 x2
Fe 0.000 0.276 0.494 x4
Fe 0.000 0.359 0.994 x4
Fe 0.000 0.500 0.266 x2
Fe 0.000 0.500 0.724 x2
Fe 0.250 0.249 0.746 x8
H 0.000 0.500 0.499 x2

Peak list (8 most intense, 2θ = 10–90°, most intense first)
2.095 Å, intensity 100.0, (1 3 2); 2.058 Å, intensity 78.5, (2 0 2); 1.849 Å, intensity 49.0, (2 2 2); 2.414 Å, intensity 38.0, (1 3 0); 2.111 Å, intensity 36.4, (0 0 4); 2.105 Å, intensity 33.5, (0 4 0); 1.886 Å, intensity 25.8, (0 4 2); 2.945 Å, intensity 21.2, (1 1 2)

# 4
Structure and theoretical powder diffraction line list of Fe3HW (a crystal structure in Alexandria, relaxed with PBE; Cu Kα X-rays).
Kinematic intensities with the Lorentz-polarization factor, no thermal factor.

Structure:
abc: 4.938 4.939 5.187
angles: 105.26 105.34 116.46
Space group P1 (No. 1)
Asymmetric unit:
Fe 0.000 0.000 0.000 x1
Fe 0.002 0.001 0.511 x1
Fe 0.068 0.572 0.667 x1
Fe 0.075 0.578 0.161 x1
Fe 0.481 0.481 0.998 x1
Fe 0.573 0.079 0.664 x1
H 0.792 0.543 0.854 x1
H 0.811 0.563 0.336 x1
W 0.465 0.507 0.501 x1
W 0.583 0.046 0.156 x1

Peak list (8 most intense, 2θ = 10–90°, most intense first)
1.983 Å, intensity 100.0, (0 2 0); 3.966 Å, intensity 34.4, (1 0 0); 2.099 Å, intensity 29.3, (2 -2 0); 1.978 Å, intensity 22.3, (1 -1 2); 2.250 Å, intensity 18.4, (1 1 0); 2.377 Å, intensity 18.4, (1 -2 0); 2.478 Å, intensity 17.7, (1 0 -2); 1.534 Å, intensity 17.6, (-2 2 2)

# 5
Structure and theoretical powder diffraction line list of Fe3HW (a crystal structure in Alexandria, relaxed with PBE; Cu Kα X-rays).
Kinematic intensities with the Lorentz-polarization factor, no thermal factor.

Structure:
abc: 6.884 4.151 9.133
angles: 90.00 131.56 90.00
Space group P2_1/c (No. 14)
Asymmetric unit:
Fe 0.001 0.244 0.081 x4
Fe 0.250 0.743 0.788 x4
Fe 0.499 0.249 0.831 x4
H 0.251 0.514 0.130 x4
W 0.250 0.240 0.950 x4

Peak list (8 most intense, 2θ = 10–90°, most intense first)
1.974 Å, intensity 100.0, (1 1 2); 2.001 Å, intensity 62.9, (2 1 -4); 2.075 Å, intensity 41.6, (0 2 0); 3.232 Å, intensity 33.1, (1 1 0); 2.243 Å, intensity 32.0, (3 0 -2); 3.417 Å, intensity 21.9, (0 0 2); 1.523 Å, intensity 20.1, (3 2 -2); 1.108 Å, intensity 19.7, (1 2 -6)

# 6
Structure and theoretical powder diffraction line list of FeHW (a crystal structure in Alexandria, relaxed with PBE; Cu Kα X-rays).
Kinematic intensities with the Lorentz-polarization factor, no thermal factor.

Structure:
abc: 8.997 2.757 4.670
angles: 90.00 100.95 90.00
Space group C2/m (No. 12)
Asymmetric unit:
Fe 0.122 0.000 0.365 x4
H 0.238 0.500 0.278 x4
W 0.112 0.500 0.843 x4

Peak list (8 most intense, 2θ = 10–90°, most intense first)
2.229 Å, intensity 100.0, (1 1 1); 1.938 Å, intensity 70.9, (3 1 -1); 2.214 Å, intensity 49.8, (2 0 -2); 2.208 Å, intensity 47.8, (4 0 0); 2.916 Å, intensity 27.9, (2 0 1); 2.632 Å, intensity 27.2, (1 1 0); 1.893 Å, intensity 25.5, (2 0 2); 3.534 Å, intensity 25.2, (2 0 -1)

# 7
Structure and theoretical powder diffraction line list of Fe3HW (a crystal structure in Alexandria, relaxed with PBE; Cu Kα X-rays).
Kinematic intensities with the Lorentz-polarization factor, no thermal factor.

Structure:
abc: 8.350 5.233 6.067
angles: 90.00 132.61 90.00
Space group C2 (No. 5)
Asymmetric unit:
Fe 0.041 0.000 0.326 x4
Fe 0.042 0.494 0.330 x4
Fe 0.207 0.754 0.172 x4
H 0.000 0.241 0.500 x2
H 0.000 0.523 0.000 x2
W 0.232 0.243 0.182 x4

Peak list (8 most intense, 2θ = 10–90°, most intense first)
1.980 Å, intensity 100.0, (2 2 -2); 1.992 Å, intensity 87.7, (2 2 0); 3.959 Å, intensity 64.9, (1 1 -1); 2.087 Å, intensity 54.5, (4 0 -2); 1.957 Å, intensity 34.5, (2 0 -3); 2.257 Å, intensity 29.0, (0 2 1); 2.233 Å, intensity 27.0, (0 0 2); 1.294 Å, intensity 22.7, (0 2 3)

# 8
Structure and theoretical powder diffraction line list of Fe3HW (a crystal structure in Alexandria, relaxed with PBE; Cu Kα X-rays).
Kinematic intensities with the Lorentz-polarization factor, no thermal factor.

Structure:
abc: 5.1841 5.1841 12.6496
angles: 90.00 90.00 120.00
Space group R3m (No. 160, hexagonal axes)
Asymmetric unit:
Fe 0.1697 0.3394 0.0000 x9
Fe 0.1750 0.3500 0.4970 x9
H 0.0000 0.0000 0.5163 x3
H 0.0000 0.0000 0.9229 x3
W 0.0000 0.0000 0.1663 x3
W 0.0000 0.0000 0.6702 x3

Peak list (8 most intense, 2θ = 10–90°, most intense first)
2.116 Å, intensity 100.0, (2 0 2); 1.831 Å, intensity 63.3, (0 2 4); 3.661 Å, intensity 50.3, (0 1 2); 2.589 Å, intensity 42.6, (1 1 0); 2.108 Å, intensity 33.1, (0 0 6); 1.104 Å, intensity 23.2, (2 2 6); 1.296 Å, intensity 19.2, (2 2 0); 1.293 Å, intensity 19.0, (2 0 8)

# 9
Structure and theoretical powder diffraction line list of YFe2H8 (a crystal structure in Alexandria, relaxed with PBE; Cu Kα X-rays).
Kinematic intensities with the Lorentz-polarization factor, no thermal factor.

Structure:
abc: 4.241 7.685 4.430
angles: 90.00 90.00 90.00
Space group Amm2 (No. 38)
Asymmetric unit:
Y 0.000 0.000 0.000 x2
Fe 0.500 0.171 0.463 x4
H 0.241 0.223 0.749 x8
H 0.253 0.000 0.494 x4
H 0.500 0.128 0.101 x4

Peak list (8 most intense, 2θ = 10–90°, most intense first)
2.846 Å, intensity 100.0, (1 2 0); 2.217 Å, intensity 44.8, (0 3 1); 1.532 Å, intensity 27.3, (2 3 1); 1.749 Å, intensity 22.3, (1 2 2); 1.373 Å, intensity 18.6, (1 5 1); 2.121 Å, intensity 13.2, (2 0 0); 1.327 Å, intensity 8.6, (3 2 0); 1.096 Å, intensity 8.2, (2 6 0)

# 10
Structure and theoretical powder diffraction line list of YFe2H (a crystal structure in Alexandria, relaxed with PBE; Cu Kα X-rays).
Kinematic intensities with the Lorentz-polarization factor, no thermal factor.

Structure:
abc: 7.525 7.525 7.525
angles: 90.00 90.00 90.00
Space group Fd-3m (No. 227, origin choice 2)
Asymmetric unit:
Y 0.125 0.125 0.125 x8
Fe 0.000 0.000 0.500 x16
H 0.125 0.125 0.625 x8

Peak list (8 most intense, 2θ = 10–90°, most intense first)
2.269 Å, intensity 100.0, (3 1 1); 2.661 Å, intensity 45.3, (2 2 0); 1.448 Å, intensity 29.9, (5 1 1); 2.172 Å, intensity 27.1, (2 2 2); 1.330 Å, intensity 23.9, (4 4 0); 1.536 Å, intensity 15.9, (4 2 2); 1.148 Å, intensity 10.1, (5 3 3); 1.134 Å, intensity 8.4, (6 2 2)

# 11
Structure and theoretical powder diffraction line list of ZnFe2H2 (a crystal structure in Alexandria, relaxed with PBE; Cu Kα X-rays).
Kinematic intensities with the Lorentz-polarization factor, no thermal factor.

Structure:
abc: 3.092 3.092 8.729
angles: 90.00 90.00 90.00
Space group I4/mmm (No. 139)
Asymmetric unit:
Zn 0.000 0.000 0.000 x2
Fe 0.000 0.000 0.339 x4
H 0.000 0.500 0.250 x4

Peak list (8 most intense, 2θ = 10–90°, most intense first)
2.119 Å, intensity 100.0, (1 0 3); 2.187 Å, intensity 54.1, (1 1 0); 1.249 Å, intensity 31.4, (2 1 3); 1.546 Å, intensity 17.4, (2 0 0); 1.211 Å, intensity 14.0, (1 1 6); 1.455 Å, intensity 6.6, (0 0 6); 1.093 Å, intensity 5.2, (2 2 0); 1.955 Å, intensity 1.1, (1 1 2)

# 12
Structure and theoretical powder diffraction line list of Zn2FeH2 (a crystal structure in Alexandria, relaxed with PBE; Cu Kα X-rays).
Kinematic intensities with the Lorentz-polarization factor, no thermal factor.

Structure:
abc: 2.747 2.747 12.743
angles: 90.00 90.00 90.00
Space group I4/mmm (No. 139)
Asymmetric unit:
Zn 0.000 0.000 0.142 x4
Fe 0.000 0.000 0.500 x2
H 0.000 0.500 0.250 x4

Peak list (8 most intense, 2θ = 10–90°, most intense first)
2.307 Å, intensity 100.0, (1 0 3); 1.943 Å, intensity 33.2, (1 1 0); 1.180 Å, intensity 20.3, (2 1 3); 1.868 Å, intensity 12.5, (1 0 5); 1.433 Å, intensity 12.5, (1 1 6); 2.124 Å, intensity 11.4, (0 0 6); 1.374 Å, intensity 10.2, (2 0 0); 3.186 Å, intensity 7.7, (0 0 4)

# 13
Structure and theoretical powder diffraction line list of ZnFe3H (a crystal structure in Alexandria, relaxed with PBE; Cu Kα X-rays).
Kinematic intensities with the Lorentz-polarization factor, no thermal factor.

Structure:
abc: 3.551 4.551 7.068
angles: 88.33 75.52 67.04
Space group P1 (No. 1)
Asymmetric unit:
Zn 0.000 0.000 0.000 x1
Zn 0.364 0.394 0.878 x1
Fe 0.106 0.156 0.631 x1
Fe 0.243 0.264 0.251 x1
Fe 0.482 0.521 0.516 x1
Fe 0.620 0.629 0.133 x1
Fe 0.738 0.778 0.746 x1
Fe 0.870 0.880 0.380 x1
H 0.373 0.885 0.370 x1
H 0.713 0.290 0.286 x1

Peak list (8 most intense, 2θ = 10–90°, most intense first)
2.144 Å, intensity 100.0, (1 2 1); 2.126 Å, intensity 97.7, (1 0 3); 1.936 Å, intensity 36.4, (0 1 3); 1.846 Å, intensity 30.8, (0 2 -2); 1.776 Å, intensity 27.5, (2 1 1); 1.309 Å, intensity 17.9, (2 2 4); 1.280 Å, intensity 16.5, (2 3 -1); 1.157 Å, intensity 11.3, (1 3 4)